1.
For MgCo4Te8O20, the PBE+U geometry in the Materials Project gives the simulated X-ray powder pattern in this record (Cu Kα (λ = 1.5418 Å)).

Largest 10 diffraction maxima, in order of rising 2θ, 2θ from 15° to 90°:
| 2θ/deg | I/Imax |
| --- | --- |
| 24.6 | 89 |
| 25.1 | 100 |
| 27.7 | 42 |
| 28.3 | 68 |
| 29.2 | 53 |
| 31.7 | 25 |
| 33.6 | 22 |
| 36.6 | 24 |
| 51.0 | 22 |
| 51.5 | 32 |

Atomic structure:
Cell: 6.2634 10.6662 7.5791 Å, 90.00 92.15 90.00°
Fractional positions:
Mg 0.0000 0.0000 0.0000
Co 0.0000 0.2369 0.5000
Co 0.0000 0.7303 0.0000
Co 0.5000 0.3589 0.5000
Co 0.5000 0.8712 0.0000
Te 0.2323 0.4570 0.8668
Te 0.2437 0.9605 0.6377
Te 0.2642 0.6482 0.3609
Te 0.2898 0.1728 0.1572
Te 0.7102 0.1728 0.8428
Te 0.7358 0.6482 0.6391
Te 0.7563 0.9605 0.3623
Te 0.7677 0.4570 0.1332
O 0.0000 0.3678 0.0000
O 0.0000 0.8703 0.5000
O 0.0552 0.5994 0.8088
O 0.0738 0.0973 0.7008
O 0.1810 0.8777 0.8635
O 0.1917 0.3702 0.6530
O 0.3029 0.7420 0.1492
O 0.3037 0.2137 0.4066
O 0.4254 0.5029 0.3086
O 0.4752 0.0223 0.1848
O 0.5000 0.2634 0.0000
O 0.5000 0.7396 0.5000
O 0.5248 0.0223 0.8152
O 0.5746 0.5029 0.6914
O 0.6963 0.2137 0.5934
O 0.6971 0.7420 0.8508
O 0.8083 0.3702 0.3470
O 0.8190 0.8777 0.1365
O 0.9262 0.0973 0.2992
O 0.9448 0.5994 0.1912



2.
For MgCo3TeO8, the PBE+U geometry in the Materials Project gives the simulated X-ray powder pattern in this record (Cu Kα (λ = 1.5418 Å)).

Largest 10 diffraction maxima, in order of rising 2θ, 2θ from 15° to 90°:
| 2θ/deg | I/Imax |
| --- | --- |
| 17.9 | 76 |
| 18.3 | 100 |
| 21.0 | 19 |
| 34.9 | 44 |
| 35.5 | 17 |
| 37.2 | 23 |
| 42.4 | 39 |
| 42.8 | 74 |
| 61.8 | 21 |
| 62.0 | 22 |

Atomic structure:
Cell: 5.9931 5.9931 6.0732 Å, 120.31 120.31 58.69°
Fractional positions:
Mg 0.0000 0.0000 0.0000
Co 0.0000 0.5000 0.0000
Co 0.5000 0.0000 0.0000
Co 0.5000 0.5000 0.0000
Te 0.5000 0.5000 0.5000
O 0.2619 0.7251 0.2547
O 0.2627 0.2627 0.8150
O 0.2641 0.2641 0.2538
O 0.2749 0.7381 0.7453
O 0.7251 0.2619 0.2547
O 0.7359 0.7359 0.7462
O 0.7373 0.7373 0.1850
O 0.7381 0.2749 0.7453



3.
For Mg4Co5Te3O18, the PBE+U geometry in the Materials Project gives the simulated X-ray powder pattern in this record (Cu Kα (λ = 1.5418 Å)).

Largest 10 diffraction maxima, in order of rising 2θ, 2θ from 15° to 90°:
| 2θ/deg | I/Imax |
| --- | --- |
| 20.1 | 37 |
| 20.4 | 100 |
| 21.5 | 33 |
| 28.1 | 36 |
| 29.5 | 69 |
| 34.7 | 34 |
| 35.0 | 58 |
| 35.1 | 25 |
| 47.4 | 27 |
| 54.5 | 37 |

Atomic structure:
Cell: 8.7410 8.7410 10.4954 Å, 94.10 94.10 61.39°
Fractional positions:
Mg 0.1325 0.8216 0.9587
Mg 0.1599 0.4338 0.0743
Mg 0.1784 0.8675 0.5413
Mg 0.4338 0.1599 0.5743
Mg 0.5662 0.8401 0.4257
Mg 0.8216 0.1325 0.4587
Mg 0.8401 0.5662 0.9257
Mg 0.8675 0.1784 0.0413
Co 0.0387 0.6274 0.4434
Co 0.2063 0.5121 0.7302
Co 0.3167 0.6833 0.2500
Co 0.3726 0.9613 0.0566
Co 0.4879 0.7937 0.7698
Co 0.5121 0.2063 0.2302
Co 0.6274 0.0387 0.9434
Co 0.6833 0.3167 0.7500
Co 0.7937 0.4879 0.2698
Co 0.9613 0.3726 0.5566
Te 0.1556 0.1666 0.8024
Te 0.1666 0.1556 0.3024
Te 0.5000 0.5000 0.0000
Te 0.5000 0.5000 0.5000
Te 0.8334 0.8444 0.6976
Te 0.8444 0.8334 0.1976
O 0.0465 0.7441 0.8032
O 0.0620 0.3872 0.3898
O 0.0685 0.7408 0.2952
O 0.0713 0.0837 0.4344
O 0.0837 0.0713 0.9344
O 0.0858 0.3869 0.8991
O 0.2219 0.2797 0.6718
O 0.2559 0.9535 0.6968
O 0.2592 0.9315 0.2048
O 0.2618 0.5916 0.5627
O 0.2648 0.5900 0.0623
O 0.2797 0.2219 0.1718
O 0.3872 0.0620 0.8898
O 0.3869 0.0858 0.3991
O 0.4084 0.7382 0.9373
O 0.4100 0.7352 0.4377
O 0.4241 0.4374 0.3364
O 0.4374 0.4241 0.8364
O 0.5626 0.5759 0.1636
O 0.5759 0.5626 0.6636
O 0.5900 0.2648 0.5623
O 0.5916 0.2618 0.0627
O 0.6131 0.9142 0.6009
O 0.6128 0.9380 0.1102
O 0.7203 0.7781 0.8282
O 0.7352 0.4100 0.9377
O 0.7382 0.4084 0.4373
O 0.7408 0.0685 0.7952
O 0.7441 0.0465 0.3032
O 0.7781 0.7203 0.3282
O 0.9142 0.6131 0.1009
O 0.9163 0.9287 0.0656
O 0.9287 0.9163 0.5656
O 0.9315 0.2592 0.7048
O 0.9380 0.6128 0.6102
O 0.9535 0.2559 0.1968



4.
For MgCo3TeO8, the PBE+U geometry in the Materials Project gives the simulated X-ray powder pattern in this record (Cu Kα (λ = 1.5418 Å)).

Largest 10 diffraction maxima, in order of rising 2θ, 2θ from 15° to 90°:
| 2θ/deg | I/Imax |
| --- | --- |
| 17.9 | 65 |
| 18.3 | 54 |
| 18.7 | 100 |
| 34.1 | 23 |
| 35.2 | 21 |
| 35.6 | 16 |
| 36.3 | 24 |
| 41.8 | 88 |
| 44.3 | 38 |
| 60.6 | 25 |

Atomic structure:
Cell: 5.7840 5.8745 6.0442 Å, 93.03 117.79 116.77°
Fractional positions:
Mg 0.0000 0.0000 0.0000
Co 0.0000 0.0000 0.5000
Co 0.0000 0.5000 0.5000
Co 0.5000 0.5000 0.5000
Te 0.5000 0.5000 0.0000
O 0.0458 0.2694 0.7773
O 0.0592 0.2841 0.3056
O 0.4895 0.2843 0.7324
O 0.4959 0.7379 0.7842
O 0.5041 0.2621 0.2158
O 0.5105 0.7157 0.2676
O 0.9408 0.7159 0.6944
O 0.9542 0.7306 0.2227



5.
For MgCo4Te8O20, the PBE+U geometry in the Materials Project gives the simulated X-ray powder pattern in this record (Cu Kα (λ = 1.5418 Å)).

Largest 10 diffraction maxima, in order of rising 2θ, 2θ from 15° to 90°:
| 2θ/deg | I/Imax |
| --- | --- |
| 24.3 | 100 |
| 24.8 | 73 |
| 26.3 | 53 |
| 28.7 | 45 |
| 29.5 | 70 |
| 31.4 | 21 |
| 33.2 | 25 |
| 43.6 | 19 |
| 49.0 | 37 |
| 49.4 | 21 |

Atomic structure:
Cell: 6.0649 11.3799 7.4913 Å, 90.00 91.75 90.00°
Fractional positions:
Mg 0.0000 0.0000 0.0000
Co 0.0000 0.3210 0.5000
Co 0.0000 0.7706 0.0000
Co 0.5000 0.2007 0.5000
Co 0.5000 0.6730 0.0000
Te 0.2407 0.5916 0.6321
Te 0.2512 0.4078 0.1379
Te 0.2624 0.8849 0.3488
Te 0.3198 0.1191 0.8535
Te 0.6802 0.1191 0.1465
Te 0.7376 0.8849 0.6512
Te 0.7488 0.4078 0.8621
Te 0.7593 0.5916 0.3679
O 0.0000 0.1733 0.0000
O 0.0000 0.6839 0.5000
O 0.0248 0.9047 0.7940
O 0.0615 0.4573 0.6841
O 0.1965 0.6622 0.8561
O 0.2281 0.2044 0.6471
O 0.2966 0.3167 0.3483
O 0.3303 0.7970 0.1431
O 0.4188 0.5432 0.1998
O 0.4270 0.0459 0.2929
O 0.5000 0.3354 0.0000
O 0.5000 0.7867 0.5000
O 0.5730 0.0459 0.7071
O 0.5812 0.5432 0.8002
O 0.6697 0.7970 0.8569
O 0.7034 0.3167 0.6517
O 0.7719 0.2044 0.3529
O 0.8035 0.6622 0.1439
O 0.9385 0.4573 0.3159
O 0.9752 0.9047 0.2060



6.
For MgCo4Te8O20, the PBE+U geometry in the Materials Project gives the simulated X-ray powder pattern in this record (Cu Kα (λ = 1.5418 Å)).

Largest 10 diffraction maxima, in order of rising 2θ, 2θ from 15° to 90°:
| 2θ/deg | I/Imax |
| --- | --- |
| 24.0 | 100 |
| 24.4 | 81 |
| 25.2 | 92 |
| 25.6 | 70 |
| 27.6 | 96 |
| 28.3 | 72 |
| 29.3 | 97 |
| 29.6 | 72 |
| 29.7 | 70 |
| 32.6 | 75 |

Atomic structure:
Cell: 6.3125 7.2180 10.9991 Å, 91.33 93.51 90.08°
Fractional positions:
Mg 0.0000 0.0000 0.0000
Co 0.1774 0.7964 0.1931
Co 0.2122 0.3134 0.6792
Co 0.6176 0.8149 0.0607
Co 0.7033 0.3290 0.5628
Te 0.0010 0.6875 0.4674
Te 0.4385 0.6977 0.7623
Te 0.4401 0.1832 0.9611
Te 0.4705 0.4464 0.2785
Te 0.4704 0.9494 0.4560
Te 0.9404 0.4684 0.9426
Te 0.9444 0.1972 0.2746
Te 0.9492 0.9315 0.7271
O 0.0105 0.4689 0.5575
O 0.1010 0.2803 0.0337
O 0.1257 0.5938 0.3218
O 0.1394 0.5135 0.8235
O 0.2589 0.9929 0.3264
O 0.2831 0.7738 0.5366
O 0.3021 0.1163 0.8076
O 0.3262 0.9711 0.0439
O 0.4159 0.1691 0.5449
O 0.4754 0.6699 0.1890
O 0.4964 0.4642 0.6882
O 0.5994 0.6534 0.9106
O 0.6371 0.5218 0.4186
O 0.6640 0.8256 0.6724
O 0.6928 0.0347 0.9509
O 0.7048 0.3321 0.1859
O 0.7815 0.1375 0.4069
O 0.8971 0.1885 0.6869
O 0.8986 0.9731 0.1776
O 0.9949 0.6898 0.0415



7.
For MgTi2Co4O8, the PBE+U geometry in the Materials Project gives the simulated X-ray powder pattern in this record (Cu Kα (λ = 1.5418 Å)).

Largest 10 diffraction maxima, in order of rising 2θ, 2θ from 15° to 90°:
| 2θ/deg | I/Imax |
| --- | --- |
| 29.9 | 52 |
| 30.1 | 37 |
| 33.6 | 48 |
| 34.3 | 71 |
| 34.5 | 100 |
| 35.3 | 47 |
| 41.4 | 30 |
| 41.7 | 71 |
| 53.2 | 30 |
| 62.1 | 56 |

Atomic structure:
Cell: 5.9470 5.9812 6.3356 Å, 117.90 90.11 119.80°
Fractional positions:
Mg 0.0000 0.0000 0.0000
Ti 0.0000 0.5000 0.0000
Ti 0.5000 0.5000 0.0000
Co 0.1462 0.2924 0.4619
Co 0.5000 0.0000 0.0000
Co 0.5000 0.0000 0.5000
Co 0.8538 0.7076 0.5381
O 0.2292 0.9597 0.2233
O 0.2391 0.4775 0.2141
O 0.2663 0.5333 0.8118
O 0.2686 0.0406 0.7774
O 0.7314 0.9594 0.2226
O 0.7337 0.4667 0.1882
O 0.7609 0.5225 0.7859
O 0.7708 0.0403 0.7767



8.
For MgTi2Co2O6, the PBE+U geometry in the Materials Project gives the simulated X-ray powder pattern in this record (Cu Kα (λ = 1.5418 Å)).

Largest 10 diffraction maxima, in order of rising 2θ, 2θ from 15° to 90°:
| 2θ/deg | I/Imax |
| --- | --- |
| 20.6 | 37 |
| 23.1 | 15 |
| 31.2 | 10 |
| 34.4 | 86 |
| 36.3 | 42 |
| 39.1 | 20 |
| 50.9 | 100 |
| 61.7 | 35 |
| 62.9 | 14 |
| 84.0 | 20 |

Atomic structure:
Cell: 5.7866 5.7866 5.7866 Å, 53.48 53.48 53.48°
Fractional positions:
Mg 0.0000 0.0000 0.0000
Ti 0.1923 0.1923 0.1923
Ti 0.3769 0.3769 0.3769
Co 0.5467 0.5467 0.5467
Co 0.7154 0.7154 0.7154
O 0.1444 0.3995 0.7950
O 0.2884 0.9893 0.5783
O 0.3995 0.7950 0.1444
O 0.5783 0.2884 0.9893
O 0.7950 0.1444 0.3995
O 0.9893 0.5783 0.2884